Structure and computed XRD peak list of Cu5Sn4 (the GGA-PBE geometry in Alexandria; Cu Ka).
No peak broadening, texture or thermal motion is included.

Structure:
Lattice parameters (Å, degrees): 10.046 7.393 9.952 90.00 118.04 90.00
Space group P2_1/c (No. 14)
Asymmetric unit:
Cu1 0.057 0.223 0.442
Cu2 0.190 0.744 0.313
Cu3 0.192 0.590 0.063
Cu4 0.316 0.223 0.683
Cu5 0.430 0.743 0.569
Sn1 0.071 0.099 0.715
Sn2 0.183 0.551 0.564
Sn3 0.324 0.085 0.423
Sn4 0.457 0.596 0.332

The 6 most intense peaks (5° ≤ 2θ ≤ 70°), in order of rising 2θ:
Position (°2θ)  I_rel  h k l
29.56  55  3 1 -1
29.79  99  1 2 1
42.17  52  4 0 -4
42.31  100  2 3 -2
42.58  47  4 1 0
42.82  45  2 2 2